Starting from a crystal structure in the Materials Project, relaxed with PBE, the powder X-ray diffraction pattern of Zn2BIr2 was simulated for Cu Kα, 1.54184 Å.
Lines closer than 0.1° are merged.

Largest 12 diffraction maxima, in order of falling intensity, 2θ = 15–90°:
two_theta	I (rel.)
40.44	100
42.56	31
29.25	30
80.16	27
44.76	26
45.01	25
31.70	23
37.56	20
44.09	20
41.41	15
72.53	13
34.28	13

```
Zn2BIr2
1.0
1.4192 -13.3928 0.0000
1.4192 13.3928 0.0000
0.0000 0.0000 10.2940
Zn B Ir
12 6 12
direct
0.0000 0.0000 0.0000
0.0000 0.0000 0.5000
0.0886 0.9114 0.6198
0.0886 0.9114 0.8802
0.1803 0.8197 0.7500
0.2392 0.7608 0.1109
0.2392 0.7608 0.3891
0.7608 0.2392 0.6109
0.7608 0.2392 0.8891
0.8197 0.1803 0.2500
0.9114 0.0886 0.1198
0.9114 0.0886 0.3802
0.0411 0.9589 0.2500
0.1385 0.8615 0.1063
0.1385 0.8615 0.3937
0.8615 0.1385 0.6063
0.8615 0.1385 0.8937
0.9589 0.0411 0.7500
0.3287 0.6713 0.7500
0.3314 0.6686 0.0306
0.3314 0.6686 0.4694
0.4253 0.5747 0.6091
0.4253 0.5747 0.8909
0.4809 0.5191 0.2500
0.5191 0.4809 0.7500
0.5747 0.4253 0.1091
0.5747 0.4253 0.3909
0.6686 0.3314 0.5306
0.6686 0.3314 0.9694
0.6713 0.3287 0.2500
```



Starting from a crystal structure in the Materials Project, relaxed with PBE, the powder X-ray diffraction pattern of Mg14GaCu was simulated for Cu Kα, 1.54184 Å.
Lines closer than 0.1° are merged.

Largest 12 diffraction maxima, in order of falling intensity, 2θ = 15–90°:
two_theta	I (rel.)
37.82	100
35.11	27
33.33	26
64.78	19
71.07	19
16.49	18
49.19	17
59.57	16
72.76	13
24.02	13
33.79	6
48.19	5

```
Mg14GaCu
1.0
6.2075 0.0000 0.0000
-3.1038 5.3759 0.0000
0.0000 0.0000 10.2234
Mg Ga Cu
14 1 1
direct
0.0000 0.0000 0.2497
0.0000 0.0000 0.7503
0.0077 0.5038 0.2468
0.0077 0.5038 0.7532
0.3311 0.1655 0.0000
0.3331 0.1666 0.5000
0.4962 0.5038 0.2468
0.4962 0.5038 0.7532
0.4962 0.9923 0.2468
0.4962 0.9923 0.7532
0.8334 0.1666 0.5000
0.8334 0.6669 0.5000
0.8345 0.1655 0.0000
0.8345 0.6689 0.0000
0.3333 0.6667 0.5000
0.3333 0.6667 0.0000
```